Record 1
Simulated X-ray diffraction stick pattern
Compound: SmGd3Al4O12
Radiation: Cu Kα (λ = 1.5418 Å)
Structure: DFT lattice parameters and positions (GGA-PBE)
Lines closer than 0.1° are merged.

Main lines, sorted by position (10 to 90 degrees two-theta):
23.64 deg, rel. 85.7; 33.38 deg, rel. 21.7; 33.69 deg, rel. 100.0; 33.92 deg, rel. 25.1; 41.33 deg, rel. 24.1; 41.78 deg, rel. 28.3; 48.33 deg, rel. 26.1; 60.48 deg, rel. 22.4

Crystal structure
Cell: 5.2856 7.5177 5.3689 Å, 90.00 90.10 90.00°
Fractional positions:
Sm 0.0000 0.0000 0.0000
Gd 0.0182 0.5000 0.0848
Gd 0.5006 0.5000 0.5839
Gd 0.5183 0.0000 0.4977
Al 0.0090 0.2505 0.5411
Al 0.0090 0.7495 0.5411
Al 0.5095 0.2505 0.0411
Al 0.5095 0.7495 0.0411
O 0.0833 0.0000 0.5549
O 0.2207 0.2893 0.8300
O 0.2207 0.7107 0.8300
O 0.2971 0.2895 0.3295
O 0.2971 0.7105 0.3295
O 0.4393 0.0000 0.0584
O 0.5835 0.5000 0.0226
O 0.7208 0.2107 0.7520
O 0.7208 0.7893 0.7520
O 0.7964 0.2131 0.2535
O 0.7964 0.7869 0.2535
O 0.9355 0.5000 0.5247

---

Record 2
Simulated X-ray diffraction stick pattern
Compound: PrGdAl4
Radiation: Cu Kα (λ = 1.5418 Å)
Structure: DFT lattice parameters and positions (GGA-PBE)
Lines closer than 0.1° are merged.

Main lines, sorted by position (10 to 90 degrees two-theta):
19.43 deg, rel. 60.0; 31.99 deg, rel. 98.5; 37.71 deg, rel. 100.0; 50.27 deg, rel. 15.6; 57.02 deg, rel. 38.1; 60.84 deg, rel. 32.8; 66.90 deg, rel. 21.6; 76.09 deg, rel. 16.2

Crystal structure
Cell: 5.5946 5.5946 5.5946 Å, 60.00 60.00 60.00°
Fractional positions:
Pr 0.0000 0.0000 0.0000
Gd 0.7500 0.7500 0.7500
Al 0.3752 0.3752 0.3752
Al 0.3752 0.3752 0.8745
Al 0.3752 0.8745 0.3752
Al 0.8745 0.3752 0.3752

---

Record 3
Simulated X-ray diffraction stick pattern
Compound: Gd2Al6Si4Pt
Radiation: Cu Kα (λ = 1.5418 Å)
Structure: DFT lattice parameters and positions (GGA-PBE)
Lines closer than 0.1° are merged.

Main lines, sorted by position (10 to 90 degrees two-theta):
15.63 deg, rel. 55.2; 24.95 deg, rel. 39.3; 26.22 deg, rel. 32.0; 27.61 deg, rel. 100.0; 35.01 deg, rel. 27.7; 37.66 deg, rel. 55.4; 43.49 deg, rel. 58.8; 48.16 deg, rel. 25.2

Crystal structure
Cell: 17.1802 17.1802 17.1802 Å, 13.91 13.91 13.91°
Fractional positions:
Gd 0.0664 0.0664 0.0664
Gd 0.9336 0.9336 0.9336
Al 0.1816 0.1816 0.1816
Al 0.3149 0.3149 0.3149
Al 0.4504 0.4504 0.4504
Al 0.5496 0.5496 0.5496
Al 0.6851 0.6851 0.6851
Al 0.8184 0.8184 0.8184
Si 0.2335 0.2335 0.2335
Si 0.3648 0.3648 0.3648
Si 0.6352 0.6352 0.6352
Si 0.7665 0.7665 0.7665
Pt 0.5000 0.5000 0.5000

---

Record 4
Simulated X-ray diffraction stick pattern
Compound: GdAlRh
Radiation: Cu Kα (λ = 1.5418 Å)
Structure: DFT lattice parameters and positions (GGA-PBE)
Lines closer than 0.1° are merged.

Main lines, sorted by position (10 to 90 degrees two-theta):
27.09 deg, rel. 29.4; 33.48 deg, rel. 58.1; 35.18 deg, rel. 100.0; 36.21 deg, rel. 25.7; 40.13 deg, rel. 20.5; 42.24 deg, rel. 18.1; 42.81 deg, rel. 31.9; 45.08 deg, rel. 23.5

Crystal structure
Cell: 6.9919 4.2245 7.9612 Å, 90.00 90.00 90.00°
Fractional positions:
Gd 0.0389 0.2500 0.1807
Gd 0.4611 0.7500 0.6807
Gd 0.5389 0.2500 0.3193
Gd 0.9611 0.7500 0.8193
Al 0.1352 0.2500 0.5620
Al 0.3648 0.7500 0.0620
Al 0.6352 0.2500 0.9380
Al 0.8648 0.7500 0.4380
Rh 0.2328 0.7500 0.3826
Rh 0.2672 0.2500 0.8826
Rh 0.7328 0.7500 0.1174
Rh 0.7672 0.2500 0.6174

---

Record 5
Simulated X-ray diffraction stick pattern
Compound: GdAl2Si2
Radiation: Cu Kα (λ = 1.5418 Å)
Structure: DFT lattice parameters and positions (GGA-PBE)
Lines closer than 0.1° are merged.

Main lines, sorted by position (10 to 90 degrees two-theta):
13.38 deg, rel. 39.6; 24.45 deg, rel. 21.5; 27.97 deg, rel. 100.0; 36.70 deg, rel. 59.8; 43.03 deg, rel. 36.0; 52.10 deg, rel. 17.8; 57.81 deg, rel. 15.9; 60.87 deg, rel. 16.7

Crystal structure
Cell: 4.2044 4.2044 6.6172 Å, 90.00 90.00 120.00°
Fractional positions:
Gd 0.0000 0.0000 0.0000
Al 0.3333 0.6667 0.3573
Al 0.6667 0.3333 0.6427
Si 0.3333 0.6667 0.7398
Si 0.6667 0.3333 0.2602

---

Record 6
Simulated X-ray diffraction stick pattern
Compound: TbGdAl6
Radiation: Cu Kα (λ = 1.5418 Å)
Structure: DFT lattice parameters and positions (GGA-PBE)
Lines closer than 0.1° are merged.

Main lines, sorted by position (10 to 90 degrees two-theta):
16.24 deg, rel. 26.2; 25.26 deg, rel. 100.0; 28.33 deg, rel. 47.5; 32.83 deg, rel. 24.9; 38.32 deg, rel. 98.2; 38.99 deg, rel. 21.6; 48.33 deg, rel. 25.9; 48.90 deg, rel. 21.6

Crystal structure
Cell: 6.3006 6.3006 4.6195 Å, 90.00 90.00 120.00°
Fractional positions:
Tb 0.0000 0.0000 0.0000
Gd 0.3333 0.6667 0.5000
Al 0.3735 0.1867 0.5000
Al 0.5198 0.0397 0.0000
Al 0.5198 0.4802 0.0000
Al 0.8133 0.1867 0.5000
Al 0.8133 0.6265 0.5000
Al 0.9603 0.4802 0.0000

---

Record 7
Simulated X-ray diffraction stick pattern
Compound: GdYAl4
Radiation: Cu Kα (λ = 1.5418 Å)
Structure: DFT lattice parameters and positions (GGA-PBE)
Lines closer than 0.1° are merged.

Main lines, sorted by position (10 to 90 degrees two-theta):
19.47 deg, rel. 52.4; 32.06 deg, rel. 87.6; 37.78 deg, rel. 100.0; 50.37 deg, rel. 13.5; 57.14 deg, rel. 33.3; 60.96 deg, rel. 32.5; 67.04 deg, rel. 21.1; 76.26 deg, rel. 14.1

Crystal structure
Cell: 5.5838 5.5838 5.5838 Å, 60.00 60.00 60.00°
Fractional positions:
Gd 0.0000 0.0000 0.0000
Y 0.2500 0.2500 0.2500
Al 0.1249 0.6250 0.6250
Al 0.6250 0.1249 0.6250
Al 0.6250 0.6250 0.1249
Al 0.6250 0.6250 0.6250

---

Record 8
Simulated X-ray diffraction stick pattern
Compound: GdAlZn
Radiation: Cu Kα (λ = 1.5418 Å)
Structure: DFT lattice parameters and positions (GGA-PBE)
Lines closer than 0.1° are merged.

Main lines, sorted by position (10 to 90 degrees two-theta):
22.70 deg, rel. 36.0; 33.76 deg, rel. 100.0; 39.86 deg, rel. 48.8; 50.56 deg, rel. 8.1; 53.20 deg, rel. 27.2; 66.24 deg, rel. 21.3; 68.49 deg, rel. 25.2; 72.37 deg, rel. 8.2

Crystal structure
Cell: 4.5234 4.5234 7.2209 Å, 90.00 90.00 120.00°
Fractional positions:
Gd 0.0000 0.0000 0.0000
Gd 0.0000 0.0000 0.5000
Al 0.3333 0.6667 0.2500
Al 0.6667 0.3333 0.7500
Zn 0.3333 0.6667 0.7500
Zn 0.6667 0.3333 0.2500

---

Record 9
Simulated X-ray diffraction stick pattern
Compound: Gd2AlZn
Radiation: Cu Kα (λ = 1.5418 Å)
Structure: DFT lattice parameters and positions (GGA-PBE)
Lines closer than 0.1° are merged.

Main lines, sorted by position (10 to 90 degrees two-theta):
24.40 deg, rel. 32.7; 34.77 deg, rel. 100.0; 42.93 deg, rel. 10.0; 50.00 deg, rel. 17.8; 56.39 deg, rel. 13.7; 62.34 deg, rel. 36.3; 73.40 deg, rel. 11.2; 83.85 deg, rel. 15.8

Crystal structure
Cell: 5.1598 5.1598 5.1598 Å, 60.00 60.00 60.00°
Fractional positions:
Gd 0.2500 0.2500 0.2500
Gd 0.7500 0.7500 0.7500
Al 0.0000 0.0000 0.0000
Zn 0.5000 0.5000 0.5000

---

Record 10
Simulated X-ray diffraction stick pattern
Compound: Al3Ge
Radiation: Cu Kα (λ = 1.5418 Å)
Structure: DFT lattice parameters and positions (GGA-PBE)
Lines closer than 0.1° are merged.

Main lines, sorted by position (10 to 90 degrees two-theta):
21.73 deg, rel. 9.8; 24.30 deg, rel. 30.3; 38.07 deg, rel. 100.0; 44.24 deg, rel. 48.4; 64.36 deg, rel. 31.1; 77.25 deg, rel. 24.3; 77.36 deg, rel. 12.1; 81.42 deg, rel. 10.6

Crystal structure
Cell: 5.0120 5.0120 5.0120 Å, 131.76 131.76 70.61°
Fractional positions:
Al 0.0000 0.0000 0.0000
Al 0.2500 0.7500 0.5000
Al 0.7500 0.2500 0.5000
Ge 0.5000 0.5000 0.0000

---

Record 11
Simulated X-ray diffraction stick pattern
Compound: SrAlGeH
Radiation: Cu Kα (λ = 1.5418 Å)
Structure: DFT lattice parameters and positions (GGA-PBE)
Lines closer than 0.1° are merged.

Main lines, sorted by position (10 to 90 degrees two-theta):
24.09 deg, rel. 11.9; 30.15 deg, rel. 100.0; 36.17 deg, rel. 14.3; 42.38 deg, rel. 34.0; 52.88 deg, rel. 20.2; 56.91 deg, rel. 22.5; 61.36 deg, rel. 12.0; 69.99 deg, rel. 17.3

Crystal structure
Cell: 4.2658 4.2658 4.9673 Å, 90.00 90.00 120.00°
Fractional positions:
Sr 0.0000 0.0000 0.0000
Al 0.6667 0.3333 0.4534
Ge 0.3333 0.6667 0.5567
H 0.6667 0.3333 0.1007

---

Record 12
Simulated X-ray diffraction stick pattern
Compound: Hf3AlGe5
Radiation: Cu Kα (λ = 1.5418 Å)
Structure: DFT lattice parameters and positions (GGA-PBE)
Lines closer than 0.1° are merged.

Main lines, sorted by position (10 to 90 degrees two-theta):
26.42 deg, rel. 19.7; 36.24 deg, rel. 20.2; 38.02 deg, rel. 100.0; 47.43 deg, rel. 14.8; 48.07 deg, rel. 14.3; 55.07 deg, rel. 13.3; 61.10 deg, rel. 15.8; 81.29 deg, rel. 14.0

Crystal structure
Cell: 3.7854 22.3889 22.3889 Å, 9.82 90.00 90.00°
Fractional positions:
Hf 0.0000 0.0000 0.0000
Hf 0.0000 0.3314 0.3314
Hf 0.0000 0.6643 0.6643
Hf 0.5000 0.2644 0.2644
Hf 0.5000 0.5957 0.5957
Hf 0.5000 0.9314 0.9314
Al 0.5000 0.3811 0.3811
Al 0.5000 0.7144 0.7144
Ge 0.0000 0.1109 0.1109
Ge 0.0000 0.2146 0.2146
Ge 0.0000 0.4425 0.4425
Ge 0.0000 0.5480 0.5480
Ge 0.0000 0.7762 0.7762
Ge 0.0000 0.8812 0.8812
Ge 0.5000 0.0479 0.0479
Ge 0.5000 0.1531 0.1531
Ge 0.5000 0.4846 0.4846
Ge 0.5000 0.8192 0.8192